Structure and theoretical powder diffraction line list of BeH2 (the PBE geometry in Alexandria; λ = 1.5418 Å (Cu Kα)).
Neutral-atom scattering factors, no anomalous dispersion.

Main lines, in order of falling intensity (2θ = 10–80°):
2theta, Rel. int.
24.10, 100.0
31.05, 79.6
44.85, 46.2
32.14, 38.7
47.49, 28.0
23.47, 21.5
48.00, 11.7
54.41, 11.6
59.29, 8.2
56.69, 5.5

Cell and atoms:
```
data_BeH2
_chemical_formula_sum 'Be12 H24'
_cell_length_a 4.063
_cell_length_b 8.857
_cell_length_c 7.582
_cell_angle_alpha 90.00
_cell_angle_beta 90.00
_cell_angle_gamma 90.00
_space_group_name_H-M_alt 'I b a m'
_space_group_IT_number 72
_space_group_name_Hall '-I 2 2c'
loop_
_atom_site_label
_atom_site_type_symbol
_atom_site_fract_x
_atom_site_fract_y
_atom_site_fract_z
Be1 Be 0.000 0.000 0.250
Be2 Be 0.119 0.168 0.000
H1 H 0.231 0.089 0.153
H2 H 0.232 0.185 0.500
```

---

Structure and theoretical powder diffraction line list of BeH2 (the PBE geometry in Alexandria; λ = 1.5418 Å (Cu Kα)).
Neutral-atom scattering factors, no anomalous dispersion.

Main lines, in order of falling intensity (2θ = 10–80°):
2theta, Rel. int.
27.00, 100.0
44.29, 32.1
54.04, 13.0
71.17, 8.2
51.21, 7.2
45.87, 6.1
66.89, 5.4
73.53, 2.6
61.90, 1.5

Cell and atoms:
```
data_BeH2
_chemical_formula_sum 'Be4 H8'
_cell_length_a 3.956
_cell_length_b 3.956
_cell_length_c 5.996
_cell_angle_alpha 90.00
_cell_angle_beta 90.00
_cell_angle_gamma 90.00
_space_group_name_H-M_alt 'I -4 2 d'
_space_group_IT_number 122
_space_group_name_Hall 'I -4 2bw'
loop_
_atom_site_label
_atom_site_type_symbol
_atom_site_fract_x
_atom_site_fract_y
_atom_site_fract_z
Be1 Be 0.000 0.000 0.000
H1 H 0.178 0.250 0.125
```

---

Structure and theoretical powder diffraction line list of Be8H (the PBE geometry in Alexandria; λ = 1.5418 Å (Cu Kα)).
Neutral-atom scattering factors, no anomalous dispersion.

Main lines, in order of falling intensity (2θ = 10–80°):
2theta, Rel. int.
51.97, 100.0
53.44, 92.3
53.53, 80.9
54.10, 77.9
54.66, 75.4
41.65, 73.5
53.85, 63.9
48.09, 41.6
52.30, 39.3
41.75, 23.7

Cell and atoms:
```
data_Be8H
_chemical_formula_sum 'Be8 H1'
_cell_length_a 3.955
_cell_length_b 4.138
_cell_length_c 4.728
_cell_angle_alpha 73.13
_cell_angle_beta 73.10
_cell_angle_gamma 85.54
_space_group_name_H-M_alt 'P -1'
_space_group_IT_number 2
_space_group_name_Hall '-P 1'
loop_
_atom_site_label
_atom_site_type_symbol
_atom_site_fract_x
_atom_site_fract_y
_atom_site_fract_z
Be1 Be 0.142 0.322 0.138
Be2 Be 0.166 0.330 0.623
Be3 Be 0.293 0.882 0.455
Be4 Be 0.301 0.867 0.961
H1 H 0.500 0.500 0.000
```